Structure and calculated powder diffraction line list of AcCuAgO4 (the GGA-PBE geometry in Alexandria; Cu Kα).

Largest 6 diffraction maxima, by intensity, 15 to 90 degrees two-theta:
two_theta, Rel. int., h k l
28.9, 100, 2 2 0
17.6, 44, 1 1 1
51.3, 40, 4 2 2
34.1, 30, 3 1 1
20.3, 24, 2 0 0
82.7, 20, 6 4 2

Atomic structure:
Cell lengths 8.731, 8.731, 8.731 Å; angles 90.00, 90.00, 90.00 degrees
Space group F-43m (No. 216)
Symmetry-distinct sites (fractional):
Ac: 0.000 0.000 0.000 x4
Cu: 0.000 0.000 0.500 x4
Ag: 0.250 0.250 0.750 x4
O: 0.118 0.118 0.618 x16



Structure and calculated powder diffraction line list of AsPH2Cl2 (the GGA-PBE geometry in Alexandria; Cu Kα).

Largest 6 diffraction maxima, by intensity, 15 to 90 degrees two-theta:
two_theta, Rel. int., h k l
18.7, 100, 1 1 1
28.8, 46, 0 2 1
15.2, 46, 2 0 0
26.6, 39, 2 0 2
42.7, 38, 3 1 3
21.7, 34, 0 0 2

Atomic structure:
Cell lengths 11.649, 6.692, 8.191 Å; angles 90.00, 90.00, 90.00 degrees
Space group Cmc2_1 (No. 36)
Symmetry-distinct sites (fractional):
As: 0.000 0.228 0.000 x4
P: 0.000 0.441 0.601 x4
H: 0.089 0.382 0.491 x8
Cl: 0.148 0.131 0.155 x8



Structure and calculated powder diffraction line list of Ni4Ir2Pt3 (the GGA-PBE geometry in Alexandria; Cu Kα).

Largest 6 diffraction maxima, by intensity, 15 to 90 degrees two-theta:
two_theta, Rel. int., h k l
41.1, 100, 3 1 1
48.0, 62, 3 1 -2
41.3, 49, 6 0 -1
41.8, 44, 0 0 3
48.3, 29, 6 0 2
70.8, 20, 3 1 4

Atomic structure:
Cell lengths 13.940, 2.702, 6.481 Å; angles 90.00, 90.13, 90.00 degrees
Space group C2/m (No. 12)
Symmetry-distinct sites (fractional):
Ni: 0.059 0.000 0.333 x4
Ni: 0.221 0.500 0.332 x4
Ir: 0.170 0.000 0.006 x4
Pt: 0.000 0.500 0.000 x2
Pt: 0.113 0.500 0.654 x4



Structure and calculated powder diffraction line list of BeAgC2O6 (the GGA-PBE geometry in Alexandria; Cu Kα).

Largest 6 diffraction maxima, by intensity, 15 to 90 degrees two-theta:
two_theta, Rel. int., h k l
32.3, 100, 1 0 4
22.9, 81, 1 0 1
42.9, 53, 2 -1 3
36.8, 47, 0 1 5
25.0, 41, 0 1 2
53.3, 32, 1 1 6

Atomic structure:
Cell lengths 4.6300, 4.6300, 15.3835 Å; angles 90.00, 90.00, 120.00 degrees
Space group R-3 (No. 148, hexagonal axes)
Symmetry-distinct sites (fractional):
Be: 0.0000 0.0000 0.0000 x3
Ag: 0.0000 0.0000 0.5000 x3
C: 0.0000 0.0000 0.2639 x6
O: 0.0308 0.6129 0.4045 x18



Structure and calculated powder diffraction line list of NdCo2GeC (the GGA-PBE geometry in Alexandria; Cu Kα).

Largest 6 diffraction maxima, by intensity, 15 to 90 degrees two-theta:
two_theta, Rel. int., h k l
35.7, 100, 1 1 2
36.5, 84, 1 3 1
35.9, 54, 0 4 1
46.5, 49, 2 0 0
42.6, 34, 0 2 3
34.0, 32, 1 3 0

Atomic structure:
Cell lengths 3.902, 10.725, 6.929 Å; angles 90.00, 90.00, 90.00 degrees
Space group Cmcm (No. 63)
Symmetry-distinct sites (fractional):
Nd: 0.000 0.054 0.250 x4
Co: 0.000 0.340 0.058 x8
Ge: 0.000 0.226 0.750 x4
C: 0.000 0.500 0.000 x4



Structure and calculated powder diffraction line list of AcMg2GaAg4 (the GGA-PBE geometry in Alexandria; Cu Kα).

Largest 6 diffraction maxima, by intensity, 15 to 90 degrees two-theta:
two_theta, Rel. int., h k l
38.8, 100, 1 1 0
33.6, 76, 0 1 8
23.0, 55, 0 1 2
31.2, 52, 1 0 7
27.1, 31, 0 1 5
38.6, 22, 1 0 10

Atomic structure:
Cell lengths 4.6408, 4.6408, 28.5945 Å; angles 90.00, 90.00, 120.00 degrees
Space group R-3m (No. 166, hexagonal axes)
Symmetry-distinct sites (fractional):
Ac: 0.0000 0.0000 0.0000 x3
Mg: 0.0000 0.0000 0.2357 x6
Ga: 0.0000 0.0000 0.5000 x3
Ag: 0.0000 0.0000 0.1328 x6
Ag: 0.0000 0.0000 0.4040 x6



Structure and calculated powder diffraction line list of ZrTlHg2 (the GGA-PBE geometry in Alexandria; Cu Kα).

Largest 6 diffraction maxima, by intensity, 15 to 90 degrees two-theta:
two_theta, Rel. int., h k l
34.1, 100, 1 1 -2
34.9, 94, 0 0 4
37.6, 61, 1 1 2
55.3, 31, 3 1 -1
66.9, 29, 0 2 4
31.2, 26, 1 1 0

Atomic structure:
Cell lengths 5.750, 3.332, 10.538 Å; angles 90.00, 102.59, 90.00 degrees
Space group Cm (No. 8)
Symmetry-distinct sites (fractional):
Zr: 0.000 0.000 0.000 x2
Tl: 0.165 0.000 0.499 x2
Hg: 0.073 0.500 0.766 x2
Hg: 0.430 0.000 0.233 x2



Structure and calculated powder diffraction line list of LaTb2Pm2Y (the GGA-PBE geometry in Alexandria; Cu Kα).

Largest 6 diffraction maxima, by intensity, 15 to 90 degrees two-theta:
two_theta, Rel. int., h k l
30.0, 100, 0 3 1
36.5, 54, 2 1 1
33.6, 45, 2 4 0
27.7, 40, 2 2 0
32.5, 38, 0 6 0
53.5, 29, 2 7 1

Atomic structure:
Cell lengths 7.000, 16.530, 3.542 Å; angles 90.00, 90.00, 90.00 degrees
Space group Pnnm (No. 58)
Symmetry-distinct sites (fractional):
La: 0.000 0.000 0.000 x2
Tb: 0.249 0.156 0.500 x4
Pm: 0.247 0.340 0.000 x4
Y: 0.000 0.500 0.500 x2



Structure and calculated powder diffraction line list of Pm4Sm3Tm5 (the GGA-PBE geometry in Alexandria; Cu Kα).

Largest 6 diffraction maxima, by intensity, 15 to 90 degrees two-theta:
two_theta, Rel. int., h k l
30.1, 100, 0 2 0
32.6, 68, 5 1 -2
33.5, 65, 1 1 -3
31.9, 59, 5 1 -1
31.2, 40, 4 0 1
43.9, 31, 4 2 1

Atomic structure:
Cell lengths 16.014, 5.937, 9.343 Å; angles 90.00, 116.44, 90.00 degrees
Space group C2/m (No. 12)
Symmetry-distinct sites (fractional):
Pm: 0.085 0.000 0.447 x4
Pm: 0.212 0.000 0.884 x4
Sm: 0.000 0.500 0.000 x2
Sm: 0.212 0.000 0.238 x4
Tm: 0.000 0.000 0.000 x2
Tm: 0.070 0.500 0.699 x4
Tm: 0.171 0.500 0.384 x4



Structure and calculated powder diffraction line list of Y3ZnRu (the GGA-PBE geometry in Alexandria; Cu Kα).

Largest 6 diffraction maxima, by intensity, 15 to 90 degrees two-theta:
two_theta, Rel. int., h k l
35.6, 100, 2 2 2
31.8, 61, 1 3 1
36.1, 54, 2 0 4
32.9, 53, 1 1 5
39.0, 42, 0 2 6
40.9, 26, 2 2 4

Atomic structure:
Cell lengths 6.388, 9.591, 15.824 Å; angles 90.00, 90.00, 90.00 degrees
Space group Fmmm (No. 69)
Symmetry-distinct sites (fractional):
Y: 0.000 0.000 0.196 x8
Y: 0.000 0.184 0.394 x16
Zn: 0.194 0.000 0.000 x8
Ru: 0.250 0.250 0.250 x8



Structure and calculated powder diffraction line list of SmY7Th3 (the GGA-PBE geometry in Alexandria; Cu Kα).

Largest 6 diffraction maxima, by intensity, 15 to 90 degrees two-theta:
two_theta, Rel. int., h k l
30.8, 100, 2 0 1
35.9, 68, 0 2 2
31.3, 31, 0 0 3
61.3, 27, 2 2 3
51.3, 23, 2 2 0
51.9, 23, 2 0 4

Atomic structure:
Cell lengths 7.1205, 7.1205, 8.5801 Å; angles 90.00, 90.00, 120.00 degrees
Space group P3m1 (No. 156)
Symmetry-distinct sites (fractional):
Sm: 0.0000 0.0000 0.0000 x1
Y: 0.0024 0.5012 0.0037 x3
Y: 0.3314 0.1657 0.3447 x3
Y: 0.3333 0.6667 0.3465 x1
Th: 0.1672 0.3344 0.6736 x3



Structure and calculated powder diffraction line list of AlMo2Au (the GGA-PBE geometry in Alexandria; Cu Kα).

Largest 6 diffraction maxima, by intensity, 15 to 90 degrees two-theta:
two_theta, Rel. int., h k l
39.5, 100, 1 1 1
40.1, 24, 0 0 2
21.9, 18, 0 1 0
29.7, 18, 0 1 1
44.6, 18, 0 2 0
72.5, 17, 1 1 3

Atomic structure:
Cell lengths 3.489, 4.061, 4.492 Å; angles 90.00, 90.00, 90.00 degrees
Space group Pmmm (No. 47)
Symmetry-distinct sites (fractional):
Al: 0.000 0.000 0.000 x1
Mo: 0.000 0.500 0.500 x1
Mo: 0.500 0.000 0.500 x1
Au: 0.500 0.500 0.000 x1